(1)
Te6MoW3Se2: simulated X-ray powder pattern (λ = 1.5418 Å (Cu Kα)), based on DFT lattice parameters and positions (PBE).

Structure:
Cell lengths 3.501, 3.501, 39.660 Å; angles 90.00, 90.00, 120.00 degrees
Fractional coordinates of all 12 atoms:
Te 0.000 0.000 0.000
Te 0.000 0.000 0.093
Te 0.000 0.000 0.376
Te 0.000 0.000 0.469
Te 0.333 0.667 0.188
Te 0.333 0.667 0.281
Mo 0.000 0.000 0.859
W 0.000 0.000 0.234
W 0.333 0.667 0.046
W 0.333 0.667 0.422
Se 0.333 0.667 0.818
Se 0.333 0.667 0.899

Largest 10 diffraction maxima, in order of rising 2θ, 5 to 70 degrees two-theta:
two_theta	I (rel.)
6.69	25
11.15	100
13.40	15
29.48	49
34.68	93
35.96	17
42.01	60
43.73	20
52.28	39
64.26	16

***

(2)
Ta3O5F5: simulated X-ray powder pattern (λ = 1.5418 Å (Cu Kα)), based on DFT lattice parameters and positions (PBE).

Structure:
Cell lengths 12.820, 12.820, 12.820 Å; angles 162.32, 161.98, 25.35 degrees
Fractional coordinates of all 13 atoms:
Ta 0.000 0.000 0.000
Ta 0.155 0.155 0.000
Ta 0.845 0.845 0.000
O 0.078 0.078 0.000
O 0.154 0.654 0.500
O 0.500 0.000 0.500
O 0.846 0.346 0.500
O 0.922 0.922 0.000
F 0.000 0.500 0.500
F 0.231 0.231 0.000
F 0.344 0.844 0.500
F 0.656 0.156 0.500
F 0.769 0.769 0.000

Largest 10 diffraction maxima, in order of rising 2θ, 5 to 70 degrees two-theta:
two_theta	I (rel.)
21.31	97
22.43	100
22.84	96
28.52	26
31.82	60
33.57	37
33.86	37
38.62	33
51.19	28
52.95	24

***

(3)
Na2LuCuCl6: simulated X-ray powder pattern (λ = 1.5418 Å (Cu Kα)), based on DFT lattice parameters and positions (PBE).

Structure:
Cell lengths 7.176, 7.176, 7.176 Å; angles 60.00, 60.00, 60.00 degrees
Fractional coordinates of all 10 atoms:
Na 0.250 0.250 0.250
Na 0.750 0.750 0.750
Lu 0.000 0.000 0.000
Cu 0.500 0.500 0.500
Cl 0.253 0.253 0.747
Cl 0.253 0.747 0.253
Cl 0.253 0.747 0.747
Cl 0.747 0.253 0.253
Cl 0.747 0.253 0.747
Cl 0.747 0.747 0.253

Largest 10 diffraction maxima, in order of rising 2θ, 5 to 70 degrees two-theta:
two_theta	I (rel.)
15.12	24
17.48	100
24.81	56
29.18	17
35.38	61
39.72	48
43.69	26
50.90	40
54.23	23
69.28	13

***

(4)
BaTiS3: simulated X-ray powder pattern (λ = 1.5418 Å (Cu Kα)), based on DFT lattice parameters and positions (PBE).

Structure:
Cell lengths 6.813, 6.813, 5.837 Å; angles 90.00, 90.00, 120.00 degrees
Fractional coordinates of all 10 atoms:
Ba 0.333 0.667 0.250
Ba 0.667 0.333 0.750
Ti 0.000 0.000 0.000
Ti 0.000 0.000 0.500
S 0.165 0.331 0.750
S 0.165 0.835 0.750
S 0.331 0.165 0.250
S 0.669 0.835 0.750
S 0.835 0.165 0.250
S 0.835 0.669 0.250

Largest 10 diffraction maxima, in order of rising 2θ, 5 to 70 degrees two-theta:
two_theta	I (rel.)
21.41	57
26.16	53
30.63	19
34.05	100
34.28	23
43.44	18
43.63	32
51.58	14
53.83	24
56.67	21

***

(5)
GdSn3: simulated X-ray powder pattern (λ = 1.5418 Å (Cu Kα)), based on DFT lattice parameters and positions (PBE).

Structure:
Cell lengths 4.671, 4.449, 22.970 Å; angles 90.00, 90.00, 90.00 degrees
Fractional coordinates of all 16 atoms:
Gd 0.000 0.000 0.000
Gd 0.000 0.500 0.500
Gd 0.500 0.000 0.241
Gd 0.500 0.500 0.741
Sn 0.000 0.000 0.374
Sn 0.000 0.000 0.616
Sn 0.000 0.000 0.746
Sn 0.000 0.500 0.116
Sn 0.000 0.500 0.246
Sn 0.000 0.500 0.874
Sn 0.500 0.000 0.102
Sn 0.500 0.000 0.476
Sn 0.500 0.000 0.857
Sn 0.500 0.500 0.357
Sn 0.500 0.500 0.602
Sn 0.500 0.500 0.976

Largest 10 diffraction maxima, in order of rising 2θ, 5 to 70 degrees two-theta:
two_theta	I (rel.)
27.95	32
30.10	100
31.15	51
33.99	95
38.54	35
40.56	31
50.36	27
52.01	25
57.19	23
66.57	24

***

(6)
Zn5C2O12: simulated X-ray powder pattern (λ = 1.5418 Å (Cu Kα)), based on DFT lattice parameters and positions (PBE).

Structure:
Cell lengths 7.583, 7.583, 5.381 Å; angles 95.74, 95.74, 48.97 degrees
Fractional coordinates of all 19 atoms:
Zn 0.000 0.000 0.000
Zn 0.270 0.730 0.500
Zn 0.375 0.375 0.955
Zn 0.625 0.625 0.045
Zn 0.730 0.270 0.500
C 0.182 0.182 0.695
C 0.818 0.818 0.305
O 0.085 0.085 0.684
O 0.179 0.685 0.808
O 0.221 0.221 0.494
O 0.231 0.231 0.912
O 0.315 0.821 0.192
O 0.416 0.416 0.316
O 0.584 0.584 0.684
O 0.685 0.179 0.808
O 0.769 0.769 0.088
O 0.779 0.779 0.506
O 0.821 0.315 0.192
O 0.915 0.915 0.316

Largest 10 diffraction maxima, in order of rising 2θ, 5 to 70 degrees two-theta:
two_theta	I (rel.)
12.91	100
28.09	29
30.59	25
33.06	38
33.51	17
34.64	16
35.71	18
36.32	26
59.61	16
62.46	16

***

(7)
Mg14CdBi: simulated X-ray powder pattern (λ = 1.5418 Å (Cu Kα)), based on DFT lattice parameters and positions (PBE).

Structure:
Cell lengths 10.443, 6.387, 6.387 Å; angles 61.53, 90.00, 90.00 degrees
Fractional coordinates of all 16 atoms:
Mg 0.000 0.000 0.000
Mg 0.000 0.001 0.500
Mg 0.000 0.500 0.001
Mg 0.000 0.500 0.500
Mg 0.244 0.170 0.170
Mg 0.246 0.171 0.661
Mg 0.246 0.661 0.171
Mg 0.249 0.667 0.667
Mg 0.500 0.500 0.999
Mg 0.500 0.999 0.500
Mg 0.751 0.667 0.667
Mg 0.754 0.171 0.661
Mg 0.754 0.661 0.171
Mg 0.756 0.170 0.170
Cd 0.500 0.502 0.502
Bi 0.500 0.000 0.000

Largest 10 diffraction maxima, in order of rising 2θ, 5 to 70 degrees two-theta:
two_theta	I (rel.)
8.47	100
16.15	26
16.98	24
18.26	41
23.52	23
31.88	25
33.04	20
34.35	28
36.33	76
37.01	36

***

What did the third record say?
Na2LuCuCl6: simulated X-ray powder pattern (λ = 1.5418 Å (Cu Kα)), based on DFT lattice parameters and positions (PBE).

Structure:
Cell lengths 7.176, 7.176, 7.176 Å; angles 60.00, 60.00, 60.00 degrees
Fractional coordinates of all 10 atoms:
Na 0.250 0.250 0.250
Na 0.750 0.750 0.750
Lu 0.000 0.000 0.000
Cu 0.500 0.500 0.500
Cl 0.253 0.253 0.747
Cl 0.253 0.747 0.253
Cl 0.253 0.747 0.747
Cl 0.747 0.253 0.253
Cl 0.747 0.253 0.747
Cl 0.747 0.747 0.253

Largest 10 diffraction maxima, in order of rising 2θ, 5 to 70 degrees two-theta:
two_theta	I (rel.)
15.12	24
17.48	100
24.81	56
29.18	17
35.38	61
39.72	48
43.69	26
50.90	40
54.23	23
69.28	13

***

Repeat the seventh record exactly.
Mg14CdBi: simulated X-ray powder pattern (λ = 1.5418 Å (Cu Kα)), based on DFT lattice parameters and positions (PBE).

Structure:
Cell lengths 10.443, 6.387, 6.387 Å; angles 61.53, 90.00, 90.00 degrees
Fractional coordinates of all 16 atoms:
Mg 0.000 0.000 0.000
Mg 0.000 0.001 0.500
Mg 0.000 0.500 0.001
Mg 0.000 0.500 0.500
Mg 0.244 0.170 0.170
Mg 0.246 0.171 0.661
Mg 0.246 0.661 0.171
Mg 0.249 0.667 0.667
Mg 0.500 0.500 0.999
Mg 0.500 0.999 0.500
Mg 0.751 0.667 0.667
Mg 0.754 0.171 0.661
Mg 0.754 0.661 0.171
Mg 0.756 0.170 0.170
Cd 0.500 0.502 0.502
Bi 0.500 0.000 0.000

Largest 10 diffraction maxima, in order of rising 2θ, 5 to 70 degrees two-theta:
two_theta	I (rel.)
8.47	100
16.15	26
16.98	24
18.26	41
23.52	23
31.88	25
33.04	20
34.35	28
36.33	76
37.01	36